This entry pairs a crystal structure of Y2Ho4Th3 with its calculated PXRD pattern. Radiation: copper Kα. Structure: a DFT-relaxed cell (GGA-PBE, Alexandria).

The 10 most intense peaks (2θ = 5–70°), by intensity:
2θ = 33.7°, 2.661 Å, I = 1000; 2θ = 32.1°, 2.791 Å, I = 724; 2θ = 30.5°, 2.932 Å, I = 488; 2θ = 29.0°, 3.081 Å, I = 442; 2θ = 60.9°, 1.521 Å, I = 417; 2θ = 51.4°, 1.779 Å, I = 366; 2θ = 57.3°, 1.608 Å, I = 301; 2θ = 42.6°, 2.124 Å, I = 301; 2θ = 10.1°, 8.795 Å, I = 196; 2θ = 62.8°, 1.479 Å, I = 168

Cell and atoms:
Cell lengths 3.557, 3.557, 26.384 Å; angles 90.00, 90.00, 120.00 degrees
Atoms (fractional coordinates):
Y (0.000, 0.000, 0.000)
Y (0.000, 0.000, 0.220)
Ho (0.000, 0.000, 0.346)
Ho (0.000, 0.000, 0.565)
Ho (0.333, 0.667, 0.672)
Ho (0.333, 0.667, 0.892)
Th (0.000, 0.000, 0.782)
Th (0.333, 0.667, 0.113)
Th (0.333, 0.667, 0.453)

This entry pairs a crystal structure of Y19Ho4Th6 with its calculated PXRD pattern. Radiation: copper Kα. Structure: a DFT-relaxed cell (GGA-PBE, Alexandria).

The 10 most intense peaks (2θ = 5–70°), by intensity:
2θ = 36.7°, 2.450 Å, I = 1000; 2θ = 30.3°, 2.945 Å, I = 839; 2θ = 26.7°, 3.339 Å, I = 816; 2θ = 22.5°, 3.951 Å, I = 495; 2θ = 35.2°, 2.550 Å, I = 472; 2θ = 28.6°, 3.124 Å, I = 369; 2θ = 42.2°, 2.143 Å, I = 287; 2θ = 61.2°, 1.515 Å, I = 281; 2θ = 60.2°, 1.538 Å, I = 272; 2θ = 64.1°, 1.452 Å, I = 249

Cell and atoms:
Cell lengths 10.821, 10.821, 10.821 Å; angles 109.47, 109.47, 109.47 degrees
Atoms (fractional coordinates):
Y (0.000, 0.000, 0.000)
Y (0.000, 0.264, 0.264)
Y (0.000, 0.736, 0.736)
Y (0.019, 0.213, 0.675)
Y (0.194, 0.981, 0.656)
Y (0.213, 0.675, 0.019)
Y (0.264, 0.000, 0.264)
Y (0.264, 0.264, 0.000)
Y (0.325, 0.538, 0.344)
Y (0.344, 0.325, 0.538)
Y (0.462, 0.787, 0.806)
Y (0.538, 0.344, 0.325)
Y (0.656, 0.194, 0.981)
Y (0.675, 0.019, 0.213)
Y (0.736, 0.000, 0.736)
Y (0.736, 0.736, 0.000)
Y (0.787, 0.806, 0.462)
Y (0.806, 0.462, 0.787)
Y (0.981, 0.656, 0.194)
Ho (0.000, 0.000, 0.356)
Ho (0.000, 0.356, 0.000)
Ho (0.356, 0.000, 0.000)
Ho (0.644, 0.644, 0.644)
Th (0.128, 0.500, 0.628)
Th (0.372, 0.872, 0.500)
Th (0.500, 0.372, 0.872)
Th (0.500, 0.628, 0.128)
Th (0.628, 0.128, 0.500)
Th (0.872, 0.500, 0.372)

This entry pairs a crystal structure of Y2Ho5Th3 with its calculated PXRD pattern. Radiation: copper Kα. Structure: a DFT-relaxed cell (GGA-PBE, Alexandria).

The 10 most intense peaks (2θ = 5–70°), by intensity:
2θ = 30.8°, 2.902 Å, I = 1000; 2θ = 30.8°, 2.900 Å, I = 999; 2θ = 51.5°, 1.773 Å, I = 361; 2θ = 35.6°, 2.524 Å, I = 342; 2θ = 35.7°, 2.514 Å, I = 338; 2θ = 35.9°, 2.498 Å, I = 332; 2θ = 60.9°, 1.520 Å, I = 291; 2θ = 61.1°, 1.516 Å, I = 289; 2θ = 61.5°, 1.509 Å, I = 284; 2θ = 64.2°, 1.450 Å, I = 249

Cell and atoms:
Cell lengths 6.139, 6.139, 11.262 Å; angles 90.46, 90.46, 48.36 degrees
Atoms (fractional coordinates):
Y (0.098, 0.098, 0.298)
Y (0.902, 0.902, 0.702)
Ho (0.199, 0.199, 0.601)
Ho (0.300, 0.300, 0.901)
Ho (0.500, 0.500, 0.500)
Ho (0.700, 0.700, 0.099)
Ho (0.801, 0.801, 0.399)
Th (0.000, 0.000, 0.000)
Th (0.401, 0.401, 0.200)
Th (0.599, 0.599, 0.800)

This entry pairs a crystal structure of YHo7Th3 with its calculated PXRD pattern. Radiation: copper Kα. Structure: a DFT-relaxed cell (GGA-PBE, Alexandria).

The 10 most intense peaks (2θ = 5–70°), by intensity:
2θ = 31.1°, 2.874 Å, I = 1000; 2θ = 36.2°, 2.481 Å, I = 670; 2θ = 31.6°, 2.836 Å, I = 321; 2θ = 62.0°, 1.497 Å, I = 284; 2θ = 51.9°, 1.763 Å, I = 242; 2θ = 52.4°, 1.745 Å, I = 234; 2θ = 61.7°, 1.503 Å, I = 144; 2θ = 62.5°, 1.486 Å, I = 139; 2θ = 17.9°, 4.961 Å, I = 129; 2θ = 64.9°, 1.437 Å, I = 125

Cell and atoms:
Cell lengths 7.052, 7.052, 8.507 Å; angles 90.00, 90.00, 120.00 degrees
Atoms (fractional coordinates):
Y (0.000, 0.000, 0.000)
Ho (0.003, 0.501, 0.997)
Ho (0.331, 0.166, 0.660)
Ho (0.333, 0.667, 0.658)
Ho (0.499, 0.501, 0.997)
Ho (0.499, 0.997, 0.997)
Ho (0.834, 0.166, 0.660)
Ho (0.834, 0.669, 0.660)
Th (0.167, 0.334, 0.329)
Th (0.167, 0.833, 0.329)
Th (0.666, 0.833, 0.329)

This entry pairs a crystal structure of Y2HoTh3 with its calculated PXRD pattern. Radiation: copper Kα. Structure: a DFT-relaxed cell (GGA-PBE, Alexandria).

The 10 most intense peaks (2θ = 5–70°), by intensity:
2θ = 30.9°, 2.891 Å, I = 1000; 2θ = 38.4°, 2.342 Å, I = 570; 2θ = 27.3°, 3.265 Å, I = 530; 2θ = 55.9°, 1.646 Å, I = 456; 2θ = 31.6°, 2.832 Å, I = 443; 2θ = 35.5°, 2.531 Å, I = 442; 2θ = 15.6°, 5.665 Å, I = 264; 2θ = 63.3°, 1.468 Å, I = 264; 2θ = 30.4°, 2.937 Å, I = 244; 2θ = 63.7°, 1.461 Å, I = 236

Cell and atoms:
Cell lengths 7.632, 7.632, 6.723 Å; angles 90.00, 90.00, 95.84 degrees
Atoms (fractional coordinates):
Y (0.063, 0.602, 0.750)
Y (0.398, 0.937, 0.750)
Y (0.602, 0.063, 0.250)
Y (0.937, 0.398, 0.250)
Ho (0.271, 0.729, 0.250)
Ho (0.729, 0.271, 0.750)
Th (0.000, 0.000, 0.000)
Th (0.000, 0.000, 0.500)
Th (0.334, 0.334, 0.000)
Th (0.334, 0.334, 0.500)
Th (0.666, 0.666, 0.000)
Th (0.666, 0.666, 0.500)

This entry pairs a crystal structure of Y3Ho4Th5 with its calculated PXRD pattern. Radiation: copper Kα. Structure: a DFT-relaxed cell (GGA-PBE, Alexandria).

The 10 most intense peaks (2θ = 5–70°), by intensity:
2θ = 30.3°, 2.951 Å, I = 1000; 2θ = 30.8°, 2.899 Å, I = 807; 2θ = 30.7°, 2.915 Å, I = 682; 2θ = 29.7°, 3.004 Å, I = 598; 2θ = 43.7°, 2.074 Å, I = 526; 2θ = 29.4°, 3.034 Å, I = 449; 2θ = 34.7°, 2.587 Å, I = 408; 2θ = 8.3°, 10.694 Å, I = 278; 2θ = 40.9°, 2.204 Å, I = 275; 2θ = 38.4°, 2.345 Å, I = 238

Cell and atoms:
Cell lengths 6.958, 6.958, 10.765 Å; angles 95.98, 95.98, 50.17 degrees
Atoms (fractional coordinates):
Y (0.000, 0.000, 0.000)
Y (0.411, 0.411, 0.248)
Y (0.589, 0.589, 0.752)
Ho (0.147, 0.147, 0.279)
Ho (0.248, 0.248, 0.896)
Ho (0.752, 0.752, 0.104)
Ho (0.853, 0.853, 0.721)
Th (0.107, 0.107, 0.596)
Th (0.355, 0.355, 0.552)
Th (0.500, 0.500, 0.000)
Th (0.645, 0.645, 0.448)
Th (0.893, 0.893, 0.404)

This entry pairs a crystal structure of Y5Ho2Th2 with its calculated PXRD pattern. Radiation: copper Kα. Structure: a DFT-relaxed cell (GGA-PBE, Alexandria).

The 10 most intense peaks (2θ = 5–70°), by intensity:
2θ = 34.3°, 2.616 Å, I = 1000; 2θ = 7.9°, 11.245 Å, I = 924; 2θ = 31.2°, 2.871 Å, I = 905; 2θ = 35.9°, 2.501 Å, I = 859; 2θ = 30.2°, 2.961 Å, I = 810; 2θ = 27.8°, 3.212 Å, I = 614; 2θ = 33.5°, 2.675 Å, I = 531; 2θ = 62.3°, 1.490 Å, I = 503; 2θ = 11.0°, 8.046 Å, I = 492; 2θ = 53.6°, 1.711 Å, I = 467

Cell and atoms:
Cell lengths 11.695, 11.695, 8.274 Å; angles 103.33, 103.33, 17.17 degrees
Atoms (fractional coordinates):
Y (0.000, 0.000, 0.000)
Y (0.091, 0.091, 0.736)
Y (0.305, 0.305, 0.436)
Y (0.695, 0.695, 0.564)
Y (0.909, 0.909, 0.264)
Ho (0.157, 0.157, 0.188)
Ho (0.843, 0.843, 0.812)
Th (0.449, 0.449, 0.637)
Th (0.551, 0.551, 0.363)

This entry pairs a crystal structure of Y6Ho3Th2 with its calculated PXRD pattern. Radiation: copper Kα. Structure: a DFT-relaxed cell (GGA-PBE, Alexandria).

The 10 most intense peaks (2θ = 5–70°), by intensity:
2θ = 32.3°, 2.773 Å, I = 1000; 2θ = 31.2°, 2.870 Å, I = 555; 2θ = 33.6°, 2.668 Å, I = 396; 2θ = 27.5°, 3.239 Å, I = 332; 2θ = 28.5°, 3.136 Å, I = 329; 2θ = 27.2°, 3.284 Å, I = 280; 2θ = 24.1°, 3.693 Å, I = 269; 2θ = 34.0°, 2.637 Å, I = 269; 2θ = 36.9°, 2.435 Å, I = 253; 2θ = 17.4°, 5.098 Å, I = 232

Cell and atoms:
Cell lengths 5.925, 12.542, 10.196 Å; angles 90.00, 90.00, 90.00 degrees
Atoms (fractional coordinates):
Y (0.193, 0.200, 0.000)
Y (0.219, 0.219, 0.339)
Y (0.219, 0.219, 0.661)
Y (0.281, 0.719, 0.161)
Y (0.281, 0.719, 0.839)
Y (0.307, 0.700, 0.500)
Y (0.693, 0.300, 0.500)
Y (0.719, 0.281, 0.161)
Y (0.719, 0.281, 0.839)
Y (0.781, 0.781, 0.339)
Y (0.781, 0.781, 0.661)
Y (0.807, 0.800, 0.000)
Ho (0.000, 0.000, 0.181)
Ho (0.000, 0.000, 0.819)
Ho (0.000, 0.500, 0.500)
Ho (0.500, 0.000, 0.000)
Ho (0.500, 0.500, 0.319)
Ho (0.500, 0.500, 0.681)
Th (0.240, 0.946, 0.500)
Th (0.260, 0.446, 0.000)
Th (0.740, 0.554, 0.000)
Th (0.760, 0.054, 0.500)

This entry pairs a crystal structure of Y4Ho19Th6 with its calculated PXRD pattern. Radiation: copper Kα. Structure: a DFT-relaxed cell (GGA-PBE, Alexandria).

The 10 most intense peaks (2θ = 5–70°), by intensity:
2θ = 36.9°, 2.436 Å, I = 1000; 2θ = 26.9°, 3.319 Å, I = 862; 2θ = 30.5°, 2.927 Å, I = 769; 2θ = 28.8°, 3.105 Å, I = 719; 2θ = 35.4°, 2.535 Å, I = 582; 2θ = 60.6°, 1.529 Å, I = 340; 2θ = 47.4°, 1.916 Å, I = 275; 2θ = 64.5°, 1.444 Å, I = 254; 2θ = 42.4°, 2.130 Å, I = 243; 2θ = 61.6°, 1.506 Å, I = 231

Cell and atoms:
Cell lengths 10.756, 10.756, 10.756 Å; angles 109.47, 109.47, 109.47 degrees
Atoms (fractional coordinates):
Y (0.000, 0.000, 0.644)
Y (0.000, 0.644, 0.000)
Y (0.356, 0.356, 0.356)
Y (0.644, 0.000, 0.000)
Ho (0.000, 0.000, 0.000)
Ho (0.000, 0.265, 0.265)
Ho (0.000, 0.735, 0.735)
Ho (0.019, 0.809, 0.343)
Ho (0.191, 0.211, 0.534)
Ho (0.211, 0.534, 0.191)
Ho (0.265, 0.000, 0.265)
Ho (0.265, 0.265, 0.000)
Ho (0.323, 0.789, 0.981)
Ho (0.343, 0.019, 0.809)
Ho (0.466, 0.677, 0.657)
Ho (0.534, 0.191, 0.211)
Ho (0.657, 0.466, 0.677)
Ho (0.677, 0.657, 0.466)
Ho (0.735, 0.000, 0.735)
Ho (0.735, 0.735, 0.000)
Ho (0.789, 0.981, 0.323)
Ho (0.809, 0.343, 0.019)
Ho (0.981, 0.323, 0.789)
Th (0.130, 0.630, 0.500)
Th (0.370, 0.500, 0.870)
Th (0.500, 0.130, 0.630)
Th (0.500, 0.870, 0.370)
Th (0.630, 0.500, 0.130)
Th (0.870, 0.370, 0.500)

This entry pairs a crystal structure of Y3HoTh2 with its calculated PXRD pattern. Radiation: copper Kα. Structure: a DFT-relaxed cell (GGA-PBE, Alexandria).

The 10 most intense peaks (2θ = 5–70°), by intensity:
2θ = 30.6°, 2.917 Å, I = 1000; 2θ = 30.8°, 2.905 Å, I = 989; 2θ = 35.6°, 2.524 Å, I = 675; 2θ = 61.0°, 1.519 Å, I = 560; 2θ = 51.3°, 1.782 Å, I = 474; 2θ = 12.1°, 7.324 Å, I = 342; 2θ = 35.7°, 2.516 Å, I = 331; 2θ = 60.8°, 1.524 Å, I = 287; 2θ = 63.8°, 1.459 Å, I = 123; 2θ = 51.0°, 1.790 Å, I = 122

Cell and atoms:
Cell lengths 10.066, 3.580, 10.674 Å; angles 90.00, 90.03, 90.00 degrees
Atoms (fractional coordinates):
Y (0.123, 0.250, 0.250)
Y (0.134, 0.250, 0.918)
Y (0.369, 0.750, 0.418)
Y (0.631, 0.250, 0.582)
Y (0.866, 0.750, 0.082)
Y (0.877, 0.750, 0.750)
Ho (0.376, 0.750, 0.750)
Ho (0.624, 0.250, 0.250)
Th (0.123, 0.250, 0.583)
Th (0.380, 0.750, 0.082)
Th (0.620, 0.250, 0.918)
Th (0.877, 0.750, 0.417)

This entry pairs a crystal structure of Y5Ho6Th with its calculated PXRD pattern. Radiation: copper Kα. Structure: a DFT-relaxed cell (GGA-PBE, Alexandria).

The 10 most intense peaks (2θ = 5–70°), by intensity:
2θ = 30.8°, 2.900 Å, I = 1000; 2θ = 35.8°, 2.511 Å, I = 505; 2θ = 61.2°, 1.514 Å, I = 423; 2θ = 51.5°, 1.776 Å, I = 357; 2θ = 64.2°, 1.450 Å, I = 122; 2θ = 15.3°, 5.799 Å, I = 41; 2θ = 7.6°, 11.598 Å, I = 36; 2θ = 29.5°, 3.029 Å, I = 27; 2θ = 16.8°, 5.267 Å, I = 15; 2θ = 17.4°, 5.095 Å, I = 13

Cell and atoms:
Cell lengths 6.151, 6.151, 11.778 Å; angles 94.99, 94.99, 119.97 degrees
Atoms (fractional coordinates):
Y (0.000, 0.000, 0.000)
Y (0.167, 0.833, 0.500)
Y (0.333, 0.667, 0.000)
Y (0.667, 0.333, 0.000)
Y (0.833, 0.167, 0.500)
Ho (0.088, 0.417, 0.251)
Ho (0.254, 0.254, 0.749)
Ho (0.417, 0.088, 0.251)
Ho (0.583, 0.912, 0.749)
Ho (0.746, 0.746, 0.251)
Ho (0.912, 0.583, 0.749)
Th (0.500, 0.500, 0.500)

This entry pairs a crystal structure of Y6HoTh2 with its calculated PXRD pattern. Radiation: copper Kα. Structure: a DFT-relaxed cell (GGA-PBE, Alexandria).

The 10 most intense peaks (2θ = 5–70°), by intensity:
2θ = 33.5°, 2.675 Å, I = 1000; 2θ = 30.5°, 2.926 Å, I = 812; 2θ = 31.9°, 2.809 Å, I = 627; 2θ = 10.1°, 8.777 Å, I = 576; 2θ = 60.6°, 1.529 Å, I = 494; 2θ = 28.7°, 3.105 Å, I = 475; 2θ = 50.9°, 1.793 Å, I = 454; 2θ = 42.4°, 2.130 Å, I = 309; 2θ = 57.3°, 1.609 Å, I = 308; 2θ = 29.6°, 3.022 Å, I = 213

Cell and atoms:
Cell lengths 3.586, 3.586, 26.332 Å; angles 90.00, 90.00, 120.00 degrees
Atoms (fractional coordinates):
Y (0.000, 0.000, 0.063)
Y (0.000, 0.000, 0.283)
Y (0.000, 0.000, 0.717)
Y (0.000, 0.000, 0.937)
Y (0.333, 0.667, 0.392)
Y (0.333, 0.667, 0.608)
Ho (0.000, 0.000, 0.500)
Th (0.333, 0.667, 0.171)
Th (0.333, 0.667, 0.829)